The following is a computed powder diffractogram of RbPb2Cl7. It was derived from a DFT-relaxed cell (PBE, Alexandria), using Cu Kα X-rays.

Structural model:
a b c (Å): 8.1434 8.1434 5.4045
angles (deg): 90.00 90.00 114.11
Positions (direct):
Rb1 0.0000 0.0000 0.0000
Pb1 0.2942 0.7058 0.5000
Pb2 0.7058 0.2942 0.5000
Cl1 0.0543 0.3191 0.5000
Cl2 0.2927 0.7073 0.0000
Cl3 0.3191 0.0543 0.5000
Cl4 0.5000 0.5000 0.5000
Cl5 0.6809 0.9457 0.5000
Cl6 0.7073 0.2927 0.0000
Cl7 0.9457 0.6809 0.5000

Peak list (8 most intense, 10° ≤ 2θ ≤ 80°, by angle)
- 2θ = 13.0°, rel. 79
- 2θ = 16.4°, rel. 100
- 2θ = 20.0°, rel. 84
- 2θ = 21.0°, rel. 70
- 2θ = 21.9°, rel. 69
- 2θ = 29.2°, rel. 56
- 2θ = 33.1°, rel. 91
- 2θ = 38.3°, rel. 62

The following is a computed powder diffractogram of Rb2Pb2Cl5. It was derived from a DFT-relaxed cell (PBE, Alexandria), using Cu Kα X-rays.

Structural model:
a b c (Å): 12.4599 12.4599 12.4599
angles (deg): 51.04 143.94 145.12
Positions (direct):
Rb1 0.0634 0.1423 0.2057
Rb2 0.0634 0.3577 0.4212
Rb3 0.9366 0.6423 0.5788
Rb4 0.9366 0.8577 0.7943
Pb1 0.4036 0.8210 0.0826
Pb2 0.5466 0.0466 0.5000
Pb3 0.5466 0.5466 0.0000
Pb4 0.7384 0.3210 0.9174
Cl1 0.0533 0.2291 0.7357
Cl2 0.0533 0.8176 0.3242
Cl3 0.2237 0.0794 0.6442
Cl4 0.4352 0.5794 0.3558
Cl5 0.4598 0.7190 0.9836
Cl6 0.4598 0.9762 0.2408
Cl7 0.4934 0.3176 0.2643
Cl8 0.4934 0.7291 0.6758
Cl9 0.7354 0.2190 0.7592
Cl10 0.7354 0.4762 0.0164

Peak list (8 most intense, 10° ≤ 2θ ≤ 80°, by angle)
- 2θ = 16.5°, rel. 48
- 2θ = 22.9°, rel. 100
- 2θ = 23.8°, rel. 33
- 2θ = 26.3°, rel. 41
- 2θ = 33.3°, rel. 35
- 2θ = 34.4°, rel. 25
- 2θ = 37.9°, rel. 30
- 2θ = 41.4°, rel. 33

The following is a computed powder diffractogram of RbPb4Cl8. It was derived from a DFT-relaxed cell (PBE, Alexandria), using Cu Kα X-rays.

Structural model:
a b c (Å): 9.0431 9.0431 9.0431
angles (deg): 60.00 60.00 60.00
Positions (direct):
Rb1 0.0000 0.0000 0.0000
Pb1 0.3776 0.3776 0.3776
Pb2 0.3776 0.3776 0.8673
Pb3 0.3776 0.8673 0.3776
Pb4 0.8673 0.3776 0.3776
Cl1 0.1437 0.1437 0.1437
Cl2 0.1437 0.1437 0.5690
Cl3 0.1437 0.5690 0.1437
Cl4 0.1787 0.6071 0.6071
Cl5 0.5690 0.1437 0.1437
Cl6 0.6071 0.1787 0.6071
Cl7 0.6071 0.6071 0.1787
Cl8 0.6071 0.6071 0.6071

Peak list (8 most intense, 10° ≤ 2θ ≤ 80°, by angle)
- 2θ = 12.0°, rel. 100
- 2θ = 23.1°, rel. 89
- 2θ = 24.1°, rel. 37
- 2θ = 27.9°, rel. 67
- 2θ = 36.5°, rel. 51
- 2θ = 39.9°, rel. 67
- 2θ = 41.8°, rel. 28
- 2θ = 47.1°, rel. 26